Entry 1:
Ce3In2Sn3: theoretical PXRD pattern (copper Kα), based on a crystal structure in Alexandria, relaxed with GGA-PBE.

Most intense lines, 5° ≤ 2θ ≤ 70°, by angle:
hkl 1 1 4, 32.6°, d = 2.748 Å, intensity 100
hkl 0 0 8, 35.1°, d = 2.556 Å, intensity 20
hkl 0 2 0, 38.0°, d = 2.367 Å, intensity 17
hkl 2 0 0, 40.1°, d = 2.247 Å, intensity 14
hkl 1 1 12, 61.4°, d = 1.510 Å, intensity 15
hkl 3 1 4, 68.2°, d = 1.375 Å, intensity 23

Crystal structure
```
data_Ce3In2Sn3
_chemical_formula_sum 'Ce6 In4 Sn6'
_cell_length_a 4.493
_cell_length_b 4.734
_cell_length_c 20.446
_cell_angle_alpha 90.00
_cell_angle_beta 90.00
_cell_angle_gamma 90.00
_space_group_name_H-M_alt 'I m m m'
_space_group_IT_number 71
_space_group_name_Hall '-I 2 2'
loop_
_atom_site_label
_atom_site_type_symbol
_atom_site_fract_x
_atom_site_fract_y
_atom_site_fract_z
Ce1 Ce 0.000 0.000 0.000
Ce2 Ce 0.000 0.500 0.371
In1 In 0.000 0.000 0.256
Sn1 Sn 0.000 0.000 0.500
Sn2 Sn 0.000 0.500 0.119
```

---

Entry 2:
ZnIn2Mo: theoretical PXRD pattern (copper Kα), based on a crystal structure in Alexandria, relaxed with GGA-PBE.

Most intense lines, 5° ≤ 2θ ≤ 70°, by angle:
hkl 1 1 2, 37.3°, d = 2.411 Å, intensity 100
hkl 0 0 4, 38.9°, d = 2.316 Å, intensity 22
hkl 2 0 0, 45.4°, d = 1.996 Å, intensity 28
hkl 2 0 4, 61.3°, d = 1.512 Å, intensity 22
hkl 2 2 0, 66.2°, d = 1.412 Å, intensity 9
hkl 1 1 6, 69.4°, d = 1.355 Å, intensity 15

Crystal structure
```
data_ZnIn2Mo
_chemical_formula_sum 'Zn2 In4 Mo2'
_cell_length_a 3.993
_cell_length_b 3.993
_cell_length_c 9.265
_cell_angle_alpha 90.00
_cell_angle_beta 90.00
_cell_angle_gamma 90.00
_space_group_name_H-M_alt 'I -4 m 2'
_space_group_IT_number 119
_space_group_name_Hall 'I -4 -2'
loop_
_atom_site_label
_atom_site_type_symbol
_atom_site_fract_x
_atom_site_fract_y
_atom_site_fract_z
Zn1 Zn 0.000 0.000 0.000
In1 In 0.000 0.000 0.500
In2 In 0.000 0.500 0.750
Mo1 Mo 0.000 0.500 0.250
```

---

Number 1 is which compound? Ce3In2Sn3